The following is a simulated X-ray powder pattern of Na2MgFeF7. It was derived from a structure optimized by DFT (GGA+U), using CuKα.

Peak list (10 most intense, 10° ≤ 2θ ≤ 90°, sorted by position)
two_theta, I/Imax
16.91, 616
24.09, 486
29.20, 1000
29.96, 802
37.75, 369
49.34, 882
50.14, 255
57.77, 371
58.54, 202
59.08, 226

Structure:
```
Na2MgFeF7
1.0
-3.639 5.206 3.778
3.639 -5.206 3.778
3.639 5.206 -3.778
Na Mg Fe F
4 2 2 14
direct
0.000 0.000 0.000
0.500 0.000 0.000
0.500 0.000 0.500
0.500 0.500 0.500
0.000 0.000 0.500
0.000 0.500 0.000
0.000 0.500 0.500
0.500 0.500 0.000
0.049 0.235 0.418
0.049 0.632 0.815
0.093 0.843 0.250
0.317 0.235 0.685
0.317 0.632 0.082
0.322 0.730 0.592
0.362 0.270 0.092
0.638 0.730 0.908
0.678 0.270 0.408
0.683 0.368 0.918
0.683 0.765 0.315
0.907 0.157 0.750
0.951 0.368 0.185
0.951 0.765 0.582
```